Simulated XRD peak list of Nd2Sm8Zn for Cu Kα, from a crystal structure in Alexandria, relaxed with GGA-PBE.
Lines closer than 0.1° are merged.

Main lines, by angle (2θ from 5° to 70°):
d 3.188, intensity 6, (5 1 0)
d 2.955, intensity 23, (6 0 -1)
d 2.921, intensity 22, (5 1 -1)
d 2.823, intensity 100, (0 2 0)
d 2.814, intensity 64, (5 1 1)
d 2.043, intensity 16, (6 2 -1)
d 1.945, intensity 11, (4 0 3)
d 1.855, intensity 7, (6 0 -3)
d 1.630, intensity 24, (5 3 1)
d 1.603, intensity 11, (4 2 3)
d 1.551, intensity 8, (6 2 -3)
d 1.526, intensity 9, (11 1 -2)

Atomic structure:
```
data_Nd2Sm8Zn
_space_group_name_H-M_alt 'C 1 2/m 1'
_space_group_IT_number 12
_cell_length_a 19.335
_cell_length_b 5.654
_cell_length_c 6.550
_cell_angle_alpha 90.00
_cell_angle_beta 93.28
_cell_angle_gamma 90.00
loop_
_space_group_symop_operation_xyz
'x,y,z'
'-x,-y,-z'
'-x,y,-z'
'x,-y,z'
'x+1/2,y+1/2,z'
'-x+1/2,-y+1/2,-z'
'-x+1/2,y+1/2,-z'
'x+1/2,-y+1/2,z'
loop_
_atom_site_label
_atom_site_type_symbol
_atom_site_fract_x
_atom_site_fract_y
_atom_site_fract_z
Nd1 Nd 0.238 0.000 0.332
Sm1 Sm 0.039 0.000 0.252
Sm2 Sm 0.078 0.500 0.609
Sm3 Sm 0.154 0.500 0.120
Sm4 Sm 0.155 0.000 0.812
Zn1 Zn 0.000 0.500 0.000
```

=====

Simulated XRD peak list of NdSn5 for Cu Kα, from a crystal structure in Alexandria, relaxed with GGA-PBE.
Lines closer than 0.1° are merged.

Main lines, by angle (2θ from 5° to 70°):
d 2.875, intensity 40, (0 2 2)
d 2.842, intensity 100, (1 0 3)
d 2.643, intensity 75, (1 2 1)
d 2.292, intensity 28, (2 0 0)
d 2.120, intensity 23, (0 2 4)
d 1.811, intensity 13, (0 0 6)
d 1.792, intensity 21, (2 2 2)
d 1.699, intensity 15, (1 2 5)
d 1.556, intensity 18, (2 2 4)
d 1.455, intensity 20, (1 4 3)
d 1.421, intensity 12, (2 0 6)
d 1.349, intensity 15, (1 2 7)

Atomic structure:
```
data_NdSn5
_space_group_name_H-M_alt 'I m m m'
_space_group_IT_number 71
_space_group_name_Hall '-I 2 2'
_cell_length_a 4.585
_cell_length_b 6.776
_cell_length_c 10.867
_cell_angle_alpha 90.00
_cell_angle_beta 90.00
_cell_angle_gamma 90.00
loop_
_atom_site_label
_atom_site_type_symbol
_atom_site_fract_x
_atom_site_fract_y
_atom_site_fract_z
Nd1 Nd 0.000 0.000 0.000
Sn1 Sn 0.000 0.222 0.338
Sn2 Sn 0.000 0.500 0.000
```

=====

Simulated XRD peak list of Nd5Sn for Cu Kα, from a crystal structure in Alexandria, relaxed with GGA-PBE.
Lines closer than 0.1° are merged.

Main lines, by angle (2θ from 5° to 70°):
d 2.923, intensity 97, (0 2 3)
d 2.893, intensity 100, (2 2 0)
d 2.576, intensity 36, (0 4 0)
d 2.491, intensity 63, (2 0 3)
d 1.791, intensity 47, (2 4 3)
d 1.748, intensity 11, (4 0 0)
d 1.546, intensity 14, (0 6 3)
d 1.541, intensity 15, (2 6 0)
d 1.513, intensity 23, (2 2 6)
d 1.500, intensity 26, (4 2 3)
d 1.462, intensity 10, (0 4 6)
d 1.447, intensity 12, (4 4 0)

Atomic structure:
```
data_Nd5Sn
_space_group_name_H-M_alt 'C m m e'
_space_group_IT_number 67
_space_group_name_Hall '-C 2a 2'
_cell_length_a 6.992
_cell_length_b 10.304
_cell_length_c 10.649
_cell_angle_alpha 90.00
_cell_angle_beta 90.00
_cell_angle_gamma 90.00
loop_
_atom_site_label
_atom_site_type_symbol
_atom_site_fract_x
_atom_site_fract_y
_atom_site_fract_z
Nd1 Nd 0.000 0.250 0.023
Nd2 Nd 0.000 0.250 0.674
Nd3 Nd 0.250 0.000 0.178
Nd4 Nd 0.250 0.000 0.500
Sn1 Sn 0.000 0.250 0.345
```

=====

What did the third record say?
Simulated XRD peak list of Nd5Sn for Cu Kα, from a crystal structure in Alexandria, relaxed with GGA-PBE.
Lines closer than 0.1° are merged.

Main lines, by angle (2θ from 5° to 70°):
d 2.923, intensity 97, (0 2 3)
d 2.893, intensity 100, (2 2 0)
d 2.576, intensity 36, (0 4 0)
d 2.491, intensity 63, (2 0 3)
d 1.791, intensity 47, (2 4 3)
d 1.748, intensity 11, (4 0 0)
d 1.546, intensity 14, (0 6 3)
d 1.541, intensity 15, (2 6 0)
d 1.513, intensity 23, (2 2 6)
d 1.500, intensity 26, (4 2 3)
d 1.462, intensity 10, (0 4 6)
d 1.447, intensity 12, (4 4 0)

Atomic structure:
```
data_Nd5Sn
_space_group_name_H-M_alt 'C m m e'
_space_group_IT_number 67
_space_group_name_Hall '-C 2a 2'
_cell_length_a 6.992
_cell_length_b 10.304
_cell_length_c 10.649
_cell_angle_alpha 90.00
_cell_angle_beta 90.00
_cell_angle_gamma 90.00
loop_
_atom_site_label
_atom_site_type_symbol
_atom_site_fract_x
_atom_site_fract_y
_atom_site_fract_z
Nd1 Nd 0.000 0.250 0.023
Nd2 Nd 0.000 0.250 0.674
Nd3 Nd 0.250 0.000 0.178
Nd4 Nd 0.250 0.000 0.500
Sn1 Sn 0.000 0.250 0.345
```